The following is a simulated powder XRD pattern of La4H2Pb3. It was derived from a GGA-PBE-relaxed structure, using Cu Kα.
Intensities are scaled so that the largest is 100.

Structural model:
Cell lengths 14.3164, 10.1140, 7.0197 Å; angles 90.00, 104.12, 90.00 degrees
Space group C2/c (No. 15)
Symmetry-distinct sites (fractional):
La (0.1084, 0.2193, 0.0354)
La (0.1935, 0.4275, 0.5969)
H (0.2244, 0.3643, 0.9371)
Pb (0.0000, 0.4905, 0.2500)
Pb (0.1196, 0.1126, 0.5801)

Peak list (6 most intense, 10° ≤ 2θ ≤ 90°, sorted by position)
d_spacing, 2theta, I (rel.)
3.275, 27.23, 66.9
2.992, 29.87, 65.2
2.888, 30.97, 88.1
2.797, 32.00, 100.0
2.678, 33.47, 75.5
2.665, 33.62, 52.6